No. 1
For Tb7Pm3Ho2, the GGA-PBE geometry in Alexandria gives the simulated XRD peak list in this record (Cu Kα X-rays).
No peak broadening, texture or thermal motion is included.

Main lines, by intensity (10° ≤ 2θ ≤ 80°):
2theta	Rel. int.	hkl
30.62	100	2 2 0
35.47	34	2 0 6
51.11	30	2 4 6
60.69	29	4 2 6
35.58	17	0 4 0
60.84	14	2 6 0

Atomic structure:
```
data_Tb7Pm3Ho2
_chemical_formula_sum 'Tb28 Pm12 Ho8'
_cell_length_a 7.1666
_cell_length_b 10.0934
_cell_length_c 21.4534
_cell_angle_alpha 90.00
_cell_angle_beta 90.00
_cell_angle_gamma 90.00
_symmetry_space_group_name_H-M 'F m m m'
_symmetry_Int_Tables_number 69
_symmetry_space_group_name_Hall '-F 2 2'
loop_
_atom_site_label
_atom_site_type_symbol
_atom_site_fract_x
_atom_site_fract_y
_atom_site_fract_z
Tb1 Tb 0.0000 0.0000 0.0000
Tb2 Tb 0.2500 0.2500 0.0837
Tb3 Tb 0.2500 0.2500 0.2500
Pm1 Pm 0.0000 0.0000 0.1669
Pm2 Pm 0.0000 0.0000 0.5000
Ho1 Ho 0.0000 0.0000 0.3331
```

***

No. 2
For Tb2Pm4Ho5, the GGA-PBE geometry in Alexandria gives the simulated XRD peak list in this record (Cu Kα X-rays).
No peak broadening, texture or thermal motion is included.

Main lines, by intensity (10° ≤ 2θ ≤ 80°):
2theta	Rel. int.	hkl
31.63	100	0 2 0
31.46	69	5 1 1
30.89	25	6 0 -1
44.82	18	6 2 -1
56.26	16	5 3 1
31.10	16	5 1 -1

Atomic structure:
```
data_Tb2Pm4Ho5
_chemical_formula_sum 'Tb4 Pm8 Ho10'
_cell_length_a 19.1520
_cell_length_b 5.6540
_cell_length_c 6.6170
_cell_angle_alpha 90.00
_cell_angle_beta 91.00
_cell_angle_gamma 90.00
_symmetry_space_group_name_H-M 'C 1 2/m 1'
_symmetry_Int_Tables_number 12
_symmetry_space_group_name_Hall '-C 2y'
loop_
_atom_site_label
_atom_site_type_symbol
_atom_site_fract_x
_atom_site_fract_y
_atom_site_fract_z
Tb1 Tb 0.0981 0.0000 0.0536
Pm1 Pm 0.0206 0.5000 0.7864
Pm2 Pm 0.1951 0.0000 0.5751
Ho1 Ho 0.0000 0.0000 0.5000
Ho2 Ho 0.1302 0.5000 0.3922
Ho3 Ho 0.2087 0.5000 0.9014
```

***

No. 3
For Tb12PmHo6, the GGA-PBE geometry in Alexandria gives the simulated XRD peak list in this record (Cu Kα X-rays).
No peak broadening, texture or thermal motion is included.

Main lines, by intensity (10° ≤ 2θ ≤ 80°):
2theta	Rel. int.	hkl
31.72	100	0 3 3
32.23	80	4 0 1
34.59	54	0 4 2
29.37	41	1 0 4
35.07	23	3 2 1
57.21	22	4 3 4

Atomic structure:
```
data_Tb12PmHo6
_chemical_formula_sum 'Tb36 Pm3 Ho18'
_cell_length_a 13.1509
_cell_length_b 13.1509
_cell_length_c 12.6211
_cell_angle_alpha 90.00
_cell_angle_beta 90.00
_cell_angle_gamma 120.00
_symmetry_space_group_name_H-M 'R -3 m'
_symmetry_Int_Tables_number 166
_symmetry_space_group_name_Hall '-R 3 2"'
loop_
_atom_site_label
_atom_site_type_symbol
_atom_site_fract_x
_atom_site_fract_y
_atom_site_fract_z
Tb1 Tb 0.0000 0.2583 0.0000
Tb2 Tb 0.0912 0.1823 0.7652
Pm1 Pm 0.0000 0.0000 0.5000
Ho1 Ho 0.0384 0.5192 0.1199
```

***

No. 4
For Tb4Pm11Ho9, the GGA-PBE geometry in Alexandria gives the simulated XRD peak list in this record (Cu Kα X-rays).
No peak broadening, texture or thermal motion is included.

Main lines, by intensity (10° ≤ 2θ ≤ 80°):
2theta	Rel. int.	hkl
29.76	100	4 6 0
32.34	95	4 0 1
32.22	94	0 6 1
30.95	34	3 3 1
30.04	34	2 4 1
59.10	33	4 6 2

Atomic structure:
```
data_Tb4Pm11Ho9
_chemical_formula_sum 'Tb8 Pm22 Ho18'
_cell_length_a 16.9086
_cell_length_b 25.5800
_cell_length_c 3.6623
_cell_angle_alpha 90.00
_cell_angle_beta 90.00
_cell_angle_gamma 90.00
_symmetry_space_group_name_H-M 'C m m m'
_symmetry_Int_Tables_number 65
_symmetry_space_group_name_Hall '-C 2 2'
loop_
_atom_site_label
_atom_site_type_symbol
_atom_site_fract_x
_atom_site_fract_y
_atom_site_fract_z
Tb1 Tb 0.1564 0.1015 0.0000
Pm1 Pm 0.0000 0.1321 0.5000
Pm2 Pm 0.0000 0.3399 0.5000
Pm3 Pm 0.0000 0.5000 0.5000
Pm4 Pm 0.2079 0.0000 0.5000
Pm5 Pm 0.2248 0.3188 0.5000
Ho1 Ho 0.0000 0.0000 0.0000
Ho2 Ho 0.1018 0.2333 0.0000
Ho3 Ho 0.1405 0.4272 0.0000
```

***

No. 5
For Tb5Pm2Ho3, the GGA-PBE geometry in Alexandria gives the simulated XRD peak list in this record (Cu Kα X-rays).
No peak broadening, texture or thermal motion is included.

Main lines, by intensity (10° ≤ 2θ ≤ 80°):
2theta	Rel. int.	hkl
30.30	100	2 4 0
30.64	46	2 2 -3
30.47	46	2 2 1
33.63	45	4 0 -2
32.16	24	0 4 2
65.80	20	2 10 -3

Atomic structure:
```
data_Tb5Pm2Ho3
_chemical_formula_sum 'Tb20 Pm8 Ho12'
_cell_length_a 10.6613
_cell_length_b 15.9033
_cell_length_c 9.4170
_cell_angle_alpha 90.00
_cell_angle_beta 124.10
_cell_angle_gamma 90.00
_symmetry_space_group_name_H-M 'C 1 2/c 1'
_symmetry_Int_Tables_number 15
_symmetry_space_group_name_Hall '-C 2yc'
loop_
_atom_site_label
_atom_site_type_symbol
_atom_site_fract_x
_atom_site_fract_y
_atom_site_fract_z
Tb1 Tb 0.0000 0.0294 0.2500
Tb2 Tb 0.0000 0.2263 0.2500
Tb3 Tb 0.0000 0.2685 0.7500
Tb4 Tb 0.2297 0.1181 0.7143
Pm1 Pm 0.1403 0.3736 0.5468
Ho1 Ho 0.0000 0.4771 0.7500
Ho2 Ho 0.1586 0.1203 0.0475
```

***

No. 6
For Tb6Pm4Ho19, the GGA-PBE geometry in Alexandria gives the simulated XRD peak list in this record (Cu Kα X-rays).
No peak broadening, texture or thermal motion is included.

Main lines, by intensity (10° ≤ 2θ ≤ 80°):
2theta	Rel. int.	hkl
30.53	100	4 1 1
36.89	73	4 3 1
28.74	63	4 0 0
26.85	50	3 2 1
35.40	42	4 2 2
60.55	29	7 4 1

Atomic structure:
```
data_Tb6Pm4Ho19
_chemical_formula_sum 'Tb12 Pm8 Ho38'
_cell_length_a 12.4232
_cell_length_b 12.4232
_cell_length_c 12.4232
_cell_angle_alpha 90.00
_cell_angle_beta 90.00
_cell_angle_gamma 90.00
_symmetry_space_group_name_H-M 'I 2 3'
_symmetry_Int_Tables_number 197
_symmetry_space_group_name_Hall 'I 2 2 3'
loop_
_atom_site_label
_atom_site_type_symbol
_atom_site_fract_x
_atom_site_fract_y
_atom_site_fract_z
Tb1 Tb 0.0000 0.1258 0.5000
Pm1 Pm 0.1799 0.1799 0.1799
Ho1 Ho 0.0000 0.0000 0.0000
Ho2 Ho 0.0000 0.0000 0.2599
Ho3 Ho 0.0621 0.2780 0.7375
```

***

No. 7
For Tb3Pm3Ho2, the GGA-PBE geometry in Alexandria gives the simulated XRD peak list in this record (Cu Kα X-rays).
No peak broadening, texture or thermal motion is included.

Main lines, by intensity (10° ≤ 2θ ≤ 80°):
2theta	Rel. int.	hkl
31.72	100	3 1 1
32.02	99	5 1 -1
31.14	60	0 2 0
29.71	43	2 0 -2
43.58	30	2 2 -2
34.10	20	1 1 -2

Atomic structure:
```
data_Tb3Pm3Ho2
_chemical_formula_sum 'Tb6 Pm6 Ho4'
_cell_length_a 16.3156
_cell_length_b 5.7434
_cell_length_c 6.0146
_cell_angle_alpha 90.00
_cell_angle_beta 110.86
_cell_angle_gamma 90.00
_symmetry_space_group_name_H-M 'C 1 2/m 1'
_symmetry_Int_Tables_number 12
_symmetry_space_group_name_Hall '-C 2y'
loop_
_atom_site_label
_atom_site_type_symbol
_atom_site_fract_x
_atom_site_fract_y
_atom_site_fract_z
Tb1 Tb 0.0000 0.0000 0.0000
Tb2 Tb 0.1327 0.0000 0.5794
Pm1 Pm 0.0000 0.5000 0.5000
Pm2 Pm 0.1344 0.5000 0.1945
Ho1 Ho 0.2502 0.0000 0.1825
```

***

No. 8
For Tb4Pm15Ho, the GGA-PBE geometry in Alexandria gives the simulated XRD peak list in this record (Cu Kα X-rays).
No peak broadening, texture or thermal motion is included.

Main lines, by intensity (10° ≤ 2θ ≤ 80°):
2theta	Rel. int.	hkl
30.19	100	1 1 5
35.00	51	2 0 0
50.34	36	2 2 0
59.79	29	3 1 5
59.91	14	1 1 15
62.78	12	2 2 10

Atomic structure:
```
data_Tb4Pm15Ho
_chemical_formula_sum 'Tb4 Pm15 Ho1'
_cell_length_a 5.1312
_cell_length_b 5.1312
_cell_length_c 25.5918
_cell_angle_alpha 90.00
_cell_angle_beta 90.00
_cell_angle_gamma 90.00
_symmetry_space_group_name_H-M 'P 4/m m m'
_symmetry_Int_Tables_number 123
_symmetry_space_group_name_Hall '-P 4 2'
loop_
_atom_site_label
_atom_site_type_symbol
_atom_site_fract_x
_atom_site_fract_y
_atom_site_fract_z
Tb1 Tb 0.0000 0.0000 0.1000
Tb2 Tb 0.0000 0.0000 0.3001
Pm1 Pm 0.0000 0.5000 0.0000
Pm2 Pm 0.0000 0.5000 0.2000
Pm3 Pm 0.0000 0.5000 0.4003
Pm4 Pm 0.5000 0.5000 0.1000
Pm5 Pm 0.5000 0.5000 0.3002
Pm6 Pm 0.5000 0.5000 0.5000
Ho1 Ho 0.0000 0.0000 0.5000
```

***

No. 9
For Tb8Pm2Ho3, the GGA-PBE geometry in Alexandria gives the simulated XRD peak list in this record (Cu Kα X-rays).
No peak broadening, texture or thermal motion is included.

Main lines, by intensity (10° ≤ 2θ ≤ 80°):
2theta	Rel. int.	hkl
31.72	100	1 4 1
34.62	72	3 1 1
29.98	71	2 1 1
31.16	56	1 7 0
31.46	55	3 5 0
33.19	33	4 3 0

Atomic structure:
```
data_Tb8Pm2Ho3
_chemical_formula_sum 'Tb16 Pm4 Ho6'
_cell_length_a 11.7294
_cell_length_b 20.7221
_cell_length_c 3.5103
_cell_angle_alpha 90.00
_cell_angle_beta 90.00
_cell_angle_gamma 90.00
_symmetry_space_group_name_H-M 'P b a m'
_symmetry_Int_Tables_number 55
_symmetry_space_group_name_Hall '-P 2 2ab'
loop_
_atom_site_label
_atom_site_type_symbol
_atom_site_fract_x
_atom_site_fract_y
_atom_site_fract_z
Tb1 Tb 0.0458 0.0715 0.0000
Tb2 Tb 0.0524 0.3417 0.5000
Tb3 Tb 0.1272 0.7847 0.0000
Tb4 Tb 0.2087 0.9464 0.5000
Pm1 Pm 0.1798 0.5992 0.0000
Ho1 Ho 0.0000 0.5000 0.5000
Ho2 Ho 0.1447 0.2013 0.5000
```

***

No. 10
For Tb12PmHo7, the GGA-PBE geometry in Alexandria gives the simulated XRD peak list in this record (Cu Kα X-rays).
No peak broadening, texture or thermal motion is included.

Main lines, by intensity (10° ≤ 2θ ≤ 80°):
2theta	Rel. int.	hkl
31.88	100	4 -1 2
29.75	63	1 3 1
30.71	42	0 2 4
39.35	32	1 2 5
42.27	24	4 1 3
27.29	20	1 0 4

Atomic structure:
```
data_Tb12PmHo7
_chemical_formula_sum 'Tb36 Pm3 Ho21'
_cell_length_a 12.8160
_cell_length_b 12.8160
_cell_length_c 13.6766
_cell_angle_alpha 90.00
_cell_angle_beta 90.00
_cell_angle_gamma 120.00
_symmetry_space_group_name_H-M 'R -3'
_symmetry_Int_Tables_number 148
_symmetry_space_group_name_Hall '-R 3'
loop_
_atom_site_label
_atom_site_type_symbol
_atom_site_fract_x
_atom_site_fract_y
_atom_site_fract_z
Tb1 Tb 0.0025 0.4358 0.2477
Tb2 Tb 0.0679 0.1989 0.3447
Pm1 Pm 0.0000 0.0000 0.0000
Ho1 Ho 0.0000 0.0000 0.5000
Ho2 Ho 0.0680 0.8666 0.8510
```

***

No. 11
For Tb8PmHo3, the GGA-PBE geometry in Alexandria gives the simulated XRD peak list in this record (Cu Kα X-rays).
No peak broadening, texture or thermal motion is included.

Main lines, by intensity (10° ≤ 2θ ≤ 80°):
2theta	Rel. int.	hkl
36.42	100	3 1 2
29.16	79	2 2 0
31.50	72	0 0 4
24.28	63	2 1 1
25.87	54	2 0 2
43.46	53	2 2 4

Atomic structure:
```
data_Tb8PmHo3
_chemical_formula_sum 'Tb16 Pm2 Ho6'
_cell_length_a 8.6607
_cell_length_b 8.6607
_cell_length_c 11.3616
_cell_angle_alpha 90.00
_cell_angle_beta 90.00
_cell_angle_gamma 90.00
_symmetry_space_group_name_H-M 'I -4 2 m'
_symmetry_Int_Tables_number 121
_symmetry_space_group_name_Hall 'I -4 2'
loop_
_atom_site_label
_atom_site_type_symbol
_atom_site_fract_x
_atom_site_fract_y
_atom_site_fract_z
Tb1 Tb 0.1259 0.1259 0.2474
Tb2 Tb 0.2468 0.2468 0.9936
Pm1 Pm 0.0000 0.0000 0.5000
Ho1 Ho 0.0000 0.0000 0.0000
Ho2 Ho 0.0000 0.5000 0.2500
```

***

> What is the formula in the eighth record?

Tb4Pm15Ho

***

Copy entry 1 word for word.
For Tb7Pm3Ho2, the GGA-PBE geometry in Alexandria gives the simulated XRD peak list in this record (Cu Kα X-rays).
No peak broadening, texture or thermal motion is included.

Main lines, by intensity (10° ≤ 2θ ≤ 80°):
2theta	Rel. int.	hkl
30.62	100	2 2 0
35.47	34	2 0 6
51.11	30	2 4 6
60.69	29	4 2 6
35.58	17	0 4 0
60.84	14	2 6 0

Atomic structure:
```
data_Tb7Pm3Ho2
_chemical_formula_sum 'Tb28 Pm12 Ho8'
_cell_length_a 7.1666
_cell_length_b 10.0934
_cell_length_c 21.4534
_cell_angle_alpha 90.00
_cell_angle_beta 90.00
_cell_angle_gamma 90.00
_symmetry_space_group_name_H-M 'F m m m'
_symmetry_Int_Tables_number 69
_symmetry_space_group_name_Hall '-F 2 2'
loop_
_atom_site_label
_atom_site_type_symbol
_atom_site_fract_x
_atom_site_fract_y
_atom_site_fract_z
Tb1 Tb 0.0000 0.0000 0.0000
Tb2 Tb 0.2500 0.2500 0.0837
Tb3 Tb 0.2500 0.2500 0.2500
Pm1 Pm 0.0000 0.0000 0.1669
Pm2 Pm 0.0000 0.0000 0.5000
Ho1 Ho 0.0000 0.0000 0.3331
```